Structure and computed powder X-ray diffraction pattern of BaTbTm4Se8 (a structure optimized by DFT (PBE); Cu Kα, 1.54184 Å).

Largest 12 diffraction maxima, in order of rising 2θ, 2θ from 10° to 90°:
| 2θ/deg | I_rel |
| --- | --- |
| 12.72 | 187 |
| 20.74 | 201 |
| 20.86 | 170 |
| 24.35 | 319 |
| 24.47 | 1000 |
| 29.58 | 716 |
| 38.64 | 219 |
| 38.78 | 569 |
| 42.19 | 674 |
| 42.46 | 678 |
| 61.41 | 204 |
| 77.51 | 198 |

abc: 8.5149 8.5149 21.0489
angles: 90.00 90.00 120.00
Space group R3m (No. 160, hexagonal axes)
Asymmetric unit:
Ba 0.0000 0.0000 0.0000 x3
Tb 0.0000 0.0000 0.6288 x3
Tm 0.0000 0.0000 0.2520 x3
Tm 0.1687 0.3374 0.4595 x9
Se 0.0000 0.0000 0.3840 x3
Se 0.0000 0.0000 0.8581 x3
Se 0.0445 0.5223 0.3845 x9
Se 0.1749 0.3498 0.2065 x9


Structure and computed powder X-ray diffraction pattern of BaTc2Se (a structure optimized by DFT (PBE); Cu Kα, 1.54184 Å).

Largest 12 diffraction maxima, in order of rising 2θ, 2θ from 10° to 90°:
| 2θ/deg | I_rel |
| --- | --- |
| 14.14 | 307 |
| 26.27 | 509 |
| 28.50 | 434 |
| 28.68 | 471 |
| 34.02 | 1000 |
| 34.59 | 303 |
| 36.31 | 315 |
| 36.45 | 603 |
| 44.93 | 346 |
| 52.35 | 272 |
| 52.65 | 184 |
| 57.48 | 219 |

abc: 3.882 4.035 6.313
angles: 90.00 97.14 90.00
Space group Pm (No. 6)
Asymmetric unit:
Ba 0.000 0.000 0.000 x1
Tc 0.094 0.500 0.535 x1
Tc 0.434 0.000 0.540 x1
Se 0.558 0.500 0.283 x1


Structure and computed powder X-ray diffraction pattern of Ba6TeSe4 (a structure optimized by DFT (PBE); Cu Kα, 1.54184 Å).

Largest 12 diffraction maxima, in order of rising 2θ, 2θ from 10° to 90°:
| 2θ/deg | I_rel |
| --- | --- |
| 24.61 | 174 |
| 25.00 | 735 |
| 25.75 | 355 |
| 26.55 | 1000 |
| 27.84 | 435 |
| 28.41 | 144 |
| 35.86 | 328 |
| 37.73 | 467 |
| 38.01 | 345 |
| 39.15 | 152 |
| 39.44 | 351 |
| 46.04 | 296 |

abc: 4.734 15.555 24.041
angles: 90.00 90.00 90.00
Space group Cmcm (No. 63)
Asymmetric unit:
Ba 0.000 0.000 0.000 x4
Ba 0.000 0.172 0.250 x4
Ba 0.000 0.275 0.580 x8
Ba 0.000 0.459 0.162 x8
Te 0.000 0.158 0.750 x4
Se 0.000 0.093 0.125 x8
Se 0.000 0.363 0.043 x8


Structure and computed powder X-ray diffraction pattern of Ba2Th3Se8 (a structure optimized by DFT (PBE); Cu Kα, 1.54184 Å).

Largest 12 diffraction maxima, in order of rising 2θ, 2θ from 10° to 90°:
| 2θ/deg | I_rel |
| --- | --- |
| 11.23 | 424 |
| 19.98 | 159 |
| 20.51 | 170 |
| 21.18 | 174 |
| 26.07 | 118 |
| 30.17 | 125 |
| 33.30 | 222 |
| 33.49 | 1000 |
| 36.24 | 237 |
| 46.35 | 102 |
| 50.03 | 141 |
| 63.44 | 159 |

abc: 9.526 4.958 9.551
angles: 90.00 111.32 90.00
Space group P2/m (No. 10)
Asymmetric unit:
Ba 0.237 0.000 0.262 x2
Th 0.212 0.500 0.711 x2
Th 0.500 0.000 0.000 x1
Se 0.112 0.500 0.388 x2
Se 0.155 0.000 0.873 x2
Se 0.373 0.000 0.655 x2
Se 0.394 0.500 0.107 x2


Structure and computed powder X-ray diffraction pattern of Ba4ThSe6 (a structure optimized by DFT (PBE); Cu Kα, 1.54184 Å).

Largest 12 diffraction maxima, in order of rising 2θ, 2θ from 10° to 90°:
| 2θ/deg | I_rel |
| --- | --- |
| 13.69 | 790 |
| 21.67 | 230 |
| 23.90 | 812 |
| 27.49 | 515 |
| 29.37 | 539 |
| 30.85 | 998 |
| 30.97 | 282 |
| 32.48 | 1000 |
| 36.87 | 307 |
| 41.91 | 516 |
| 48.92 | 286 |
| 62.72 | 373 |

abc: 12.8984 12.8984 15.9455
angles: 90.00 90.00 120.00
Space group R-3c (No. 167, hexagonal axes)
Asymmetric unit:
Ba 0.0000 0.0000 0.2500 x6
Ba 0.0000 0.3740 0.2500 x18
Th 0.0000 0.0000 0.0000 x6
Se 0.0278 0.1957 0.3936 x36


Structure and computed powder X-ray diffraction pattern of Ba3ThSe7 (a structure optimized by DFT (PBE); Cu Kα, 1.54184 Å).

Largest 12 diffraction maxima, in order of rising 2θ, 2θ from 10° to 90°:
| 2θ/deg | I_rel |
| --- | --- |
| 16.62 | 341 |
| 17.66 | 405 |
| 22.61 | 598 |
| 28.23 | 742 |
| 28.63 | 561 |
| 30.39 | 624 |
| 31.70 | 1000 |
| 32.61 | 404 |
| 33.49 | 655 |
| 33.90 | 317 |
| 42.95 | 355 |
| 46.16 | 516 |

abc: 5.882 12.645 9.653
angles: 90.00 90.00 90.00
Space group Imm2 (No. 44)
Asymmetric unit:
Ba 0.000 0.000 0.000 x2
Ba 0.000 0.261 0.292 x4
Th 0.000 0.500 0.908 x2
Se 0.000 0.000 0.350 x2
Se 0.000 0.268 0.948 x4
Se 0.000 0.405 0.614 x4
Se 0.205 0.500 0.197 x4


Structure and computed powder X-ray diffraction pattern of Ba3TlSe4 (a structure optimized by DFT (PBE); Cu Kα, 1.54184 Å).

Largest 12 diffraction maxima, in order of rising 2θ, 2θ from 10° to 90°:
| 2θ/deg | I_rel |
| --- | --- |
| 23.38 | 252 |
| 26.96 | 505 |
| 27.11 | 1000 |
| 38.60 | 773 |
| 38.72 | 385 |
| 47.81 | 417 |
| 55.91 | 131 |
| 62.90 | 181 |
| 63.17 | 363 |
| 69.78 | 133 |
| 70.00 | 268 |
| 89.08 | 147 |

abc: 4.652 4.652 13.230
angles: 90.00 90.00 90.00
Space group P4/mmm (No. 123)
Asymmetric unit:
Ba 0.000 0.000 0.000 x1
Ba 0.500 0.500 0.255 x2
Tl 0.000 0.000 0.500 x1
Se 0.000 0.000 0.253 x2
Se 0.500 0.500 0.000 x1
Se 0.500 0.500 0.500 x1


Structure and computed powder X-ray diffraction pattern of Ba3TlSe4 (a structure optimized by DFT (PBE); Cu Kα, 1.54184 Å).

Largest 12 diffraction maxima, in order of rising 2θ, 2θ from 10° to 90°:
| 2θ/deg | I_rel |
| --- | --- |
| 18.56 | 1000 |
| 23.01 | 321 |
| 27.17 | 519 |
| 32.43 | 981 |
| 33.11 | 460 |
| 37.63 | 161 |
| 42.81 | 881 |
| 47.03 | 166 |
| 57.86 | 176 |
| 58.29 | 171 |
| 65.06 | 241 |
| 66.26 | 222 |

abc: 11.037 9.566 6.564
angles: 90.00 90.00 90.00
Space group Pmn2_1 (No. 31)
Asymmetric unit:
Ba 0.000 0.150 0.000 x2
Ba 0.247 0.331 0.500 x4
Tl 0.000 0.825 0.475 x2
Se 0.000 0.146 0.501 x2
Se 0.000 0.821 0.022 x2
Se 0.246 0.673 0.501 x4


What did the fifth record say?
Structure and computed powder X-ray diffraction pattern of Ba4ThSe6 (a structure optimized by DFT (PBE); Cu Kα, 1.54184 Å).

Largest 12 diffraction maxima, in order of rising 2θ, 2θ from 10° to 90°:
| 2θ/deg | I_rel |
| --- | --- |
| 13.69 | 790 |
| 21.67 | 230 |
| 23.90 | 812 |
| 27.49 | 515 |
| 29.37 | 539 |
| 30.85 | 998 |
| 30.97 | 282 |
| 32.48 | 1000 |
| 36.87 | 307 |
| 41.91 | 516 |
| 48.92 | 286 |
| 62.72 | 373 |

abc: 12.8984 12.8984 15.9455
angles: 90.00 90.00 120.00
Space group R-3c (No. 167, hexagonal axes)
Asymmetric unit:
Ba 0.0000 0.0000 0.2500 x6
Ba 0.0000 0.3740 0.2500 x18
Th 0.0000 0.0000 0.0000 x6
Se 0.0278 0.1957 0.3936 x36